Structure and simulated X-ray diffraction stick pattern of Np2SeO9 (a PBE-relaxed structure; Cu Kα (weighted mean of Kα1 and Kα2)).

Structure:
```
data_Np2SeO9
_chemical_formula_sum 'Np8 Se4 O36'
_space_group_name_H-M_alt 'P 1 21/c 1'
_space_group_IT_number 14
_cell_length_a 7.0014
_cell_length_b 6.8651
_cell_length_c 16.0518
_cell_angle_alpha 90.00
_cell_angle_beta 90.93
_cell_angle_gamma 90.00
loop_
_space_group_symop_operation_xyz
'x,y,z'
'-x,-y,-z'
'-x,y+1/2,-z+1/2'
'x,-y+1/2,z+1/2'
loop_
_atom_site_label
_atom_site_type_symbol
_atom_site_fract_x
_atom_site_fract_y
_atom_site_fract_z
Np1 Np 0.2470 0.0421 0.1560
Np2 Np 0.2472 0.1834 0.8958
Se1 Se 0.2461 0.5662 0.0581
O1 O 0.0219 0.5567 0.3439
O2 O 0.0944 0.7455 0.0857
O3 O 0.1962 0.0007 0.4604
O4 O 0.2366 0.1186 0.6253
O5 O 0.2399 0.0778 0.0007
O6 O 0.2522 0.2128 0.2908
O7 O 0.2785 0.6584 0.7314
O8 O 0.4559 0.6795 0.0636
O9 O 0.4858 0.5480 0.3597
```

Main lines, sorted by position (2θ = 10–80°):
d_spacing, Position (°2θ), I (rel.), hkl
6.312, 14.03, 36.0, 0 1 1
5.217, 16.99, 51.8, 0 1 2
4.901, 18.10, 73.7, 1 1 0
4.220, 21.05, 84.2, 0 1 3
4.012, 22.15, 49.6, 0 0 4
3.501, 25.44, 100.0, 2 0 0
3.027, 29.51, 50.3, 1 2 -1
2.886, 30.99, 52.7, 1 2 -2
2.870, 31.16, 41.5, 1 2 2
2.675, 33.51, 34.3, 1 1 5